(1)
Calculated XRD peak list of Al3V12Cu for Cu Ka, from the GGA-PBE geometry in Alexandria.
Intensities are scaled so that the largest is 1000.

Structural model:
```
data_Al3V12Cu
_chemical_formula_sum 'Al3 V12 Cu1'
_cell_length_a 4.7598
_cell_length_b 4.7831
_cell_length_c 9.6054
_cell_angle_alpha 90.00
_cell_angle_beta 90.00
_cell_angle_gamma 90.00
_symmetry_space_group_name_H-M 'P m m m'
_symmetry_Int_Tables_number 47
_symmetry_space_group_name_Hall '-P 2 2'
loop_
_atom_site_label
_atom_site_type_symbol
_atom_site_fract_x
_atom_site_fract_y
_atom_site_fract_z
Al1 Al 0.0000 0.0000 0.0000
Al2 Al 0.5000 0.5000 0.2508
V1 V 0.0000 0.5000 0.1304
V2 V 0.0000 0.5000 0.3819
V3 V 0.2482 0.0000 0.2539
V4 V 0.5000 0.2466 0.5000
V5 V 0.5000 0.2595 0.0000
Cu1 Cu 0.0000 0.0000 0.5000
```

Largest 10 diffraction maxima, in order of falling intensity, 15° ≤ 2θ ≤ 90°:
two_theta, I/Imax
42.40, 1000
42.26, 995
42.12, 978
46.41, 581
46.51, 562
46.63, 542
37.45, 276
37.61, 271
37.80, 266
74.31, 255

***

(2)
Calculated XRD peak list of Cs2MgMnH6 for Cu Ka, from the GGA-PBE geometry in Alexandria.
Intensities are scaled so that the largest is 1000.

Structural model:
```
data_Cs2MgMnH6
_chemical_formula_sum 'Cs4 Mg2 Mn2 H12'
_cell_length_a 5.9669
_cell_length_b 5.9669
_cell_length_c 8.4362
_cell_angle_alpha 90.00
_cell_angle_beta 90.00
_cell_angle_gamma 90.00
_symmetry_space_group_name_H-M 'I 4/m m m'
_symmetry_Int_Tables_number 139
_symmetry_space_group_name_Hall '-I 4 2'
loop_
_atom_site_label
_atom_site_type_symbol
_atom_site_fract_x
_atom_site_fract_y
_atom_site_fract_z
Cs1 Cs 0.0000 0.5000 0.2500
Mg1 Mg 0.0000 0.0000 0.0000
Mn1 Mn 0.0000 0.0000 0.5000
H1 H 0.0000 0.0000 0.2556
H2 H 0.2423 0.2423 0.5000
```

Largest 10 diffraction maxima, in order of falling intensity, 15° ≤ 2θ ≤ 90°:
two_theta, I/Imax
29.95, 1000
53.18, 386
21.06, 310
86.27, 195
42.87, 194
70.60, 165
48.23, 142
62.24, 124
36.90, 113
66.49, 72

***

(3)
Calculated XRD peak list of Pm2Dy3Hg2 for Cu Ka, from the GGA-PBE geometry in Alexandria.
Intensities are scaled so that the largest is 1000.

Structural model:
```
data_Pm2Dy3Hg2
_chemical_formula_sum 'Pm6 Dy9 Hg6'
_cell_length_a 5.4191
_cell_length_b 5.4191
_cell_length_c 23.9806
_cell_angle_alpha 90.00
_cell_angle_beta 90.00
_cell_angle_gamma 120.00
_symmetry_space_group_name_H-M 'R -3 m'
_symmetry_Int_Tables_number 166
_symmetry_space_group_name_Hall '-R 3 2"'
loop_
_atom_site_label
_atom_site_type_symbol
_atom_site_fract_x
_atom_site_fract_y
_atom_site_fract_z
Pm1 Pm 0.0000 0.0000 0.0755
Dy1 Dy 0.0000 0.0000 0.3423
Dy2 Dy 0.0000 0.0000 0.5000
Hg1 Hg 0.0000 0.0000 0.2137
```

Largest 10 diffraction maxima, in order of falling intensity, 15° ≤ 2θ ≤ 90°:
two_theta, I/Imax
33.06, 1000
32.35, 936
58.60, 348
46.93, 336
59.05, 192
57.26, 154
78.63, 150
69.37, 119
77.46, 118
67.73, 79